BaMgVO4: computed X-ray diffraction stick pattern (Cu Kα (λ = 1.5418 Å)), based on a PBE+U-relaxed structure.
Intensities are scaled so that the largest is 100.

Peak list (10 most intense, 2θ = 10–90°, in order of rising 2θ)
18.1 deg, d = 4.890 Å, rel. 27
21.0 deg, d = 4.235 Å, rel. 70
29.8 deg, d = 2.995 Å, rel. 100
35.1 deg, d = 2.554 Å, rel. 32
36.8 deg, d = 2.445 Å, rel. 25
48.0 deg, d = 1.894 Å, rel. 28
53.0 deg, d = 1.729 Å, rel. 38
62.0 deg, d = 1.497 Å, rel. 18
70.3 deg, d = 1.339 Å, rel. 16
85.9 deg, d = 1.132 Å, rel. 19

Cell and atoms:
```
7
Lattice="0.0000 4.2350 4.2350 4.2350 0.0000 4.2350 4.2350 4.2350 0.0000" Properties=species:S:1:pos:R:3 pbc="T T T"
Ba 0.0000 0.0000 0.0000
Mg 6.3525 6.3525 6.3525
V 4.2350 4.2350 4.2350
O 5.2698 3.2003 3.2003
O 3.2003 5.2698 3.2003
O 3.2003 3.2003 5.2698
O 5.2698 5.2698 5.2698
```